Structure and simulated PXRD pattern of TaTcBr (a crystal structure in Alexandria, relaxed with GGA-PBE; a wavelength of 1.5418 Å).
Intensities are scaled so that the largest is 100.

The 8 most intense peaks (2θ from 10° to 80°), by intensity:
d/Å  intensity
2.462  100
6.218  39
2.483  29
1.429  18
1.930  16
1.944  14
1.531  13
1.200  10

Crystal structure
Unit cell a=3.888 b=4.965 c=12.435 alpha=90.00 beta=90.00 gamma=90.00
Space group Fmm2 (No. 42)
Unique sites:
Ta 0.000 0.000 0.000 [4 per cell]
Tc 0.000 0.000 0.378 [4 per cell]
Br 0.000 0.000 0.676 [4 per cell]